This entry pairs a crystal structure of Ho5In4Ni2 with its calculated PXRD pattern. Radiation: Cu Kα (λ = 1.5418 Å). Structure: the GGA-PBE geometry in the Materials Project.
Intensities are scaled so that the largest is 100.

Main lines, by intensity (5° ≤ 2θ ≤ 70°):
2θ/deg  I_rel  (hkl)
34.09  100  1 4 1
35.24  87  2 2 1
37.03  46  2 3 1
35.06  38  3 2 0
36.74  37  1 7 0
37.48  32  2 6 0
33.95  28  3 1 0
51.53  27  0 0 2
37.33  26  1 5 1
31.88  21  1 6 0
31.36  21  1 3 1
32.14  18  0 4 1

Cell and atoms:
Lattice parameters (Å, degrees): 8.0090 17.9846 3.5472 90.00 90.00 90.00
Atoms (fractional coordinates):
Ho1 0.0000 0.0000 0.0000
Ho2 0.1250 0.4125 0.0000
Ho3 0.2403 0.7220 0.0000
Ho4 0.2597 0.2220 0.0000
Ho5 0.3750 0.9125 0.0000
Ho6 0.5000 0.5000 0.0000
Ho7 0.6250 0.0875 0.0000
Ho8 0.7403 0.7780 0.0000
Ho9 0.7597 0.2780 0.0000
Ho10 0.8750 0.5875 0.0000
In1 0.0623 0.8479 0.5000
In2 0.2002 0.5694 0.5000
In3 0.2998 0.0694 0.5000
In4 0.4377 0.3479 0.5000
In5 0.5623 0.6521 0.5000
In6 0.7002 0.9306 0.5000
In7 0.7998 0.4306 0.5000
In8 0.9377 0.1521 0.5000
Ni1 0.0407 0.3044 0.5000
Ni2 0.4593 0.8044 0.5000
Ni3 0.5407 0.1956 0.5000
Ni4 0.9593 0.6956 0.5000

This entry pairs a crystal structure of HoInO3 with its calculated PXRD pattern. Radiation: Cu Kα (λ = 1.5418 Å). Structure: the GGA-PBE geometry in the Materials Project.
Intensities are scaled so that the largest is 100.

Main lines, by intensity (5° ≤ 2θ ≤ 70°):
2θ/deg  I_rel  (hkl)
31.18  100  1 2 1
32.41  28  0 0 2
57.03  21  1 2 3
30.51  19  2 0 0
54.67  19  2 4 0
45.10  16  2 0 2
44.25  12  0 4 0
55.90  11  0 4 2
50.82  11  3 1 1
24.67  11  1 1 1
65.03  9  2 4 2
46.52  8  2 1 2

Cell and atoms:
Lattice parameters (Å, degrees): 5.8600 8.1881 5.5259 90.00 90.00 90.00
Atoms (fractional coordinates):
Ho1 0.0647 0.2500 0.0201
Ho2 0.4353 0.7500 0.5201
Ho3 0.5647 0.2500 0.4799
Ho4 0.9353 0.7500 0.9799
In1 0.0000 0.0000 0.5000
In2 0.0000 0.5000 0.5000
In3 0.5000 0.0000 0.0000
In4 0.5000 0.5000 0.0000
O1 0.0734 0.7500 0.3527
O2 0.1852 0.5749 0.8187
O3 0.1852 0.9251 0.8187
O4 0.3148 0.0749 0.3187
O5 0.3148 0.4251 0.3187
O6 0.4266 0.2500 0.8527
O7 0.5734 0.7500 0.1473
O8 0.6852 0.5749 0.6813
O9 0.6852 0.9251 0.6813
O10 0.8148 0.0749 0.1813
O11 0.8148 0.4251 0.1813
O12 0.9266 0.2500 0.6473

This entry pairs a crystal structure of HoInO3 with its calculated PXRD pattern. Radiation: Cu Kα (λ = 1.5418 Å). Structure: the GGA-PBE geometry in the Materials Project.
Intensities are scaled so that the largest is 100.

Main lines, by intensity (5° ≤ 2θ ≤ 70°):
2θ/deg  I_rel  (hkl)
31.74  100  1 1 2
29.09  45  1 1 1
28.96  40  0 0 4
49.83  39  3 0 0
58.67  38  3 0 4
53.10  25  1 1 6
28.15  20  1 1 0
60.29  17  2 2 2
40.83  16  1 1 4
35.78  13  1 1 3
46.66  12  1 1 5
60.05  8  0 0 8

Cell and atoms:
Lattice parameters (Å, degrees): 6.3398 6.3398 12.3335 90.00 90.00 120.00
Atoms (fractional coordinates):
Ho1 0.0000 0.0000 0.0000
Ho2 0.0000 0.0000 0.5000
Ho3 0.3333 0.6667 0.4646
Ho4 0.3333 0.6667 0.9646
Ho5 0.6667 0.3333 0.4646
Ho6 0.6667 0.3333 0.9646
In1 0.0000 0.3333 0.2303
In2 0.0000 0.6667 0.7303
In3 0.3333 0.0000 0.2303
In4 0.3333 0.3333 0.7303
In5 0.6667 0.0000 0.7303
In6 0.6667 0.6667 0.2303
O1 0.0000 0.0000 0.1943
O2 0.0000 0.0000 0.6943
O3 0.0000 0.3052 0.4032
O4 0.0000 0.3637 0.0598
O5 0.0000 0.6363 0.5598
O6 0.0000 0.6948 0.9032
O7 0.3052 0.0000 0.4032
O8 0.3052 0.3052 0.9032
O9 0.3333 0.6667 0.2621
O10 0.3333 0.6667 0.7621
O11 0.3637 0.0000 0.0598
O12 0.3637 0.3637 0.5598
O13 0.6363 0.0000 0.5598
O14 0.6363 0.6363 0.0598
O15 0.6667 0.3333 0.2621
O16 0.6667 0.3333 0.7621
O17 0.6948 0.0000 0.9032
O18 0.6948 0.6948 0.4032

This entry pairs a crystal structure of Ho2InPd2 with its calculated PXRD pattern. Radiation: Cu Kα (λ = 1.5418 Å). Structure: the GGA-PBE geometry in the Materials Project.
Intensities are scaled so that the largest is 100.

Main lines, by intensity (5° ≤ 2θ ≤ 70°):
2θ/deg  I_rel  (hkl)
35.55  100  2 1 1
36.81  42  3 1 0
33.53  33  2 0 1
63.00  17  3 1 2
49.20  17  0 0 2
54.95  15  4 1 1
66.75  13  5 1 1
32.81  10  2 2 0
56.34  10  3 3 1
48.62  9  4 1 0
50.13  6  3 3 0
42.20  6  3 2 0

Cell and atoms:
Lattice parameters (Å, degrees): 7.7210 7.7210 3.7032 90.00 90.00 90.00
Atoms (fractional coordinates):
Ho1 0.1732 0.3268 0.0000
Ho2 0.3268 0.8268 0.0000
Ho3 0.6732 0.1732 0.0000
Ho4 0.8268 0.6732 0.0000
In1 0.0000 0.0000 0.5000
In2 0.5000 0.5000 0.5000
Pd1 0.1280 0.6280 0.5000
Pd2 0.3720 0.1280 0.5000
Pd3 0.6280 0.8720 0.5000
Pd4 0.8720 0.3720 0.5000